(1)
Diffraction record for Ta2W13. The powder diffraction line list is simulated, not measured: it uses DFT lattice parameters and positions (PBE) and λ = 1.5418 Å (Cu Kα).
Peak positions follow from Bragg's law for the DFT cell and can differ from measured ones.

```
30
Lattice="9.847 0.000 0.000 0.000 9.847 0.000 0.000 0.000 5.159" Properties=species:S:1:pos:R:3 pbc="T T T"
Ta 1.025 1.025 0.000
Ta 3.898 5.949 2.579
Ta 5.949 3.898 2.579
Ta 8.821 8.821 0.000
W 0.000 0.000 2.579
W 0.312 3.669 0.000
W 0.606 2.540 2.579
W 1.255 5.235 2.579
W 1.838 8.008 1.284
W 1.838 8.008 3.875
W 2.383 5.529 0.000
W 2.540 0.606 2.579
W 3.085 3.085 1.295
W 3.085 3.085 3.863
W 3.669 0.312 0.000
W 4.317 7.464 0.000
W 4.611 8.592 2.579
W 4.923 4.923 0.000
W 5.235 1.255 2.579
W 5.529 2.383 0.000
W 6.178 9.535 0.000
W 6.762 6.762 1.295
W 6.762 6.762 3.863
W 7.306 9.241 2.579
W 7.464 4.317 0.000
W 8.008 1.838 1.284
W 8.008 1.838 3.875
W 8.592 4.611 2.579
W 9.241 7.306 2.579
W 9.535 6.178 0.000
```

Main lines, by angle (10 to 90 degrees two-theta):
Position (°2θ)	intensity
34.78	20
37.67	74
38.80	33
39.44	35
40.53	60
41.68	100
42.72	43
66.14	24
67.07	25
69.50	16

***

(2)
Diffraction record for Ta10W3. The powder diffraction line list is simulated, not measured: it uses DFT lattice parameters and positions (PBE) and λ = 1.5418 Å (Cu Kα).
Peak positions follow from Bragg's law for the DFT cell and can differ from measured ones.

```
13
Lattice="2.716 1.568 9.343 -2.716 1.568 9.343 0.000 -3.136 9.343" Properties=species:S:1:pos:R:3 pbc="T T T"
Ta 0.000 0.000 1.322
Ta -1.369 -0.790 11.902
Ta 0.000 0.000 9.326
Ta 0.000 -1.581 16.126
Ta -1.369 0.790 16.126
Ta 1.369 -0.790 11.902
Ta 0.000 1.581 11.902
Ta 0.000 0.000 18.702
Ta 1.369 0.790 16.126
Ta 0.000 0.000 26.705
W 0.000 0.000 4.122
W 0.000 0.000 14.014
W 0.000 0.000 23.906
```

Main lines, by angle (10 to 90 degrees two-theta):
Position (°2θ)	intensity
32.98	35
37.35	31
38.36	100
40.25	46
40.46	19
41.64	44
62.48	16
63.84	24
69.19	28
69.63	19

***

(3)
Diffraction record for Ta5W3. The powder diffraction line list is simulated, not measured: it uses DFT lattice parameters and positions (PBE) and λ = 1.5418 Å (Cu Kα).
Peak positions follow from Bragg's law for the DFT cell and can differ from measured ones.

```
8
Lattice="3.254 0.000 0.000 0.000 3.254 0.000 0.000 0.000 13.082" Properties=species:S:1:pos:R:3 pbc="T T T"
Ta 0.000 0.000 0.000
Ta 0.000 0.000 3.200
Ta 0.000 0.000 9.882
Ta 1.627 1.627 4.952
Ta 1.627 1.627 8.130
W 0.000 0.000 6.541
W 1.627 1.627 1.633
W 1.627 1.627 11.449
```

Main lines, by angle (10 to 90 degrees two-theta):
Position (°2θ)	intensity
39.05	100
39.15	50
56.26	9
56.56	17
70.67	17
70.87	35
83.88	11
84.14	6

***

(4)
Diffraction record for TaZn2. The powder diffraction line list is simulated, not measured: it uses DFT lattice parameters and positions (PBE) and λ = 1.5418 Å (Cu Kα).
Peak positions follow from Bragg's law for the DFT cell and can differ from measured ones.

```
12
Lattice="5.051 0.000 0.000 -2.526 4.374 0.000 0.000 0.000 8.093" Properties=species:S:1:pos:R:3 pbc="T T T"
Ta 0.000 2.916 0.553
Ta 0.000 2.916 3.494
Ta 2.526 1.458 4.600
Ta 2.526 1.458 7.540
Zn 0.000 0.000 0.000
Zn 0.000 0.000 4.047
Zn 0.000 1.509 6.070
Zn -1.218 3.620 6.070
Zn 1.307 0.755 2.023
Zn 1.218 3.620 6.070
Zn 3.744 0.755 2.023
Zn 2.526 2.865 2.023
```

Main lines, by angle (10 to 90 degrees two-theta):
Position (°2θ)	intensity
35.55	63
39.23	100
41.28	15
42.18	87
42.83	58
66.30	39
68.38	20
72.67	24
75.25	22
88.33	20

***

(5)
Diffraction record for Ta3Zn4. The powder diffraction line list is simulated, not measured: it uses DFT lattice parameters and positions (PBE) and λ = 1.5418 Å (Cu Kα).
Peak positions follow from Bragg's law for the DFT cell and can differ from measured ones.

```
14
Lattice="7.485 0.000 0.000 -3.742 6.482 0.000 0.000 0.000 4.611" Properties=species:S:1:pos:R:3 pbc="T T T"
Ta -1.629 4.092 1.153
Ta 1.013 3.025 1.153
Ta 3.126 0.636 3.459
Ta 0.616 5.846 1.153
Ta 2.730 3.457 3.459
Ta 5.371 2.390 3.459
Zn -2.691 5.276 3.459
Zn 0.519 1.514 3.459
Zn 1.571 0.308 1.153
Zn 0.000 4.321 3.459
Zn 3.742 2.161 1.153
Zn 2.172 6.174 3.459
Zn 3.224 4.968 1.153
Zn 6.433 1.206 1.153
```

Main lines, by angle (10 to 90 degrees two-theta):
Position (°2θ)	intensity
23.69	14
30.77	13
36.68	30
39.07	27
41.75	100
54.66	19
66.05	16
72.61	19
79.50	19
81.26	13

***

(6)
Diffraction record for TaZn. The powder diffraction line list is simulated, not measured: it uses DFT lattice parameters and positions (PBE) and λ = 1.5418 Å (Cu Kα).
Peak positions follow from Bragg's law for the DFT cell and can differ from measured ones.

```
12
Lattice="4.111 0.000 0.000 0.000 8.395 0.000 0.000 0.000 5.678" Properties=species:S:1:pos:R:3 pbc="T T T"
Ta 0.000 0.113 0.000
Ta 0.000 2.759 2.875
Ta 0.000 5.636 0.036
Ta 0.000 8.281 2.839
Ta 2.055 1.504 1.435
Ta 2.055 6.891 4.274
Zn 0.000 2.882 0.034
Zn 0.000 5.513 2.872
Zn 2.055 1.368 4.245
Zn 2.055 4.050 4.451
Zn 2.055 4.345 1.613
Zn 2.055 7.027 1.406
```

Main lines, by angle (10 to 90 degrees two-theta):
Position (°2θ)	intensity
10.54	18
18.87	16
38.54	100
38.94	94
44.06	35
45.52	61
65.21	40
77.33	13
79.17	22
79.92	21

***

(7)
Diffraction record for Zr4Ta3. The powder diffraction line list is simulated, not measured: it uses DFT lattice parameters and positions (PBE) and λ = 1.5418 Å (Cu Kα).
Peak positions follow from Bragg's law for the DFT cell and can differ from measured ones.

```
14
Lattice="7.665 0.000 0.000 0.000 4.799 0.000 -3.185 0.000 7.921" Properties=species:S:1:pos:R:3 pbc="T T T"
Zr 0.150 1.200 0.984
Zr -1.216 3.599 4.717
Zr -1.182 1.200 6.458
Zr 2.754 3.599 0.305
Zr 1.726 1.200 7.615
Zr 5.662 3.599 1.463
Zr 5.696 1.200 3.203
Zr 4.331 3.599 6.937
Ta 0.890 3.599 2.647
Ta 1.021 1.200 4.258
Ta 2.875 1.200 2.160
Ta 1.606 3.599 5.761
Ta 3.459 3.599 3.663
Ta 3.590 1.200 5.273
```

Main lines, by angle (10 to 90 degrees two-theta):
Position (°2θ)	intensity
11.17	30
12.45	21
36.18	46
36.49	99
36.72	100
37.48	51
52.38	18
53.08	31
65.59	20
67.13	17

***

(8)
Diffraction record for Zr2Ta. The powder diffraction line list is simulated, not measured: it uses DFT lattice parameters and positions (PBE) and λ = 1.5418 Å (Cu Kα).
Peak positions follow from Bragg's law for the DFT cell and can differ from measured ones.

```
12
Lattice="4.966 0.000 0.000 0.000 9.089 0.000 0.000 0.000 5.730" Properties=species:S:1:pos:R:3 pbc="T T T"
Zr 1.242 0.694 0.752
Zr 1.242 2.272 3.574
Zr 1.242 3.850 0.752
Zr 1.242 6.817 0.368
Zr 3.725 2.272 5.363
Zr 3.725 5.239 4.978
Zr 3.725 6.817 2.157
Zr 3.725 8.395 4.978
Ta 1.242 5.334 3.293
Ta 1.242 8.299 3.293
Ta 3.725 0.790 2.438
Ta 3.725 3.755 2.438
```

Main lines, by angle (10 to 90 degrees two-theta):
Position (°2θ)	intensity
15.46	17
33.46	29
36.19	100
38.18	91
50.09	19
56.99	15
65.08	13
66.38	18
69.39	17
73.19	24

***

(9)
Diffraction record for Tb. The powder diffraction line list is simulated, not measured: it uses DFT lattice parameters and positions (PBE) and λ = 1.5418 Å (Cu Kα).
Peak positions follow from Bragg's law for the DFT cell and can differ from measured ones.

```
3
Lattice="3.551 0.000 0.000 -1.776 3.076 0.000 0.000 0.000 8.671" Properties=species:S:1:pos:R:3 pbc="T T T"
Tb -0.603 1.044 1.445
Tb 1.206 0.000 7.226
Tb 1.173 2.031 4.335
```

Main lines, by angle (10 to 90 degrees two-theta):
Position (°2θ)	intensity
30.87	100
35.80	51
51.46	18
51.58	18
61.25	32
61.37	11
64.27	9
84.00	9
86.72	8
86.91	8

***

(10)
Diffraction record for Tb. The powder diffraction line list is simulated, not measured: it uses DFT lattice parameters and positions (PBE) and λ = 1.5418 Å (Cu Kα).
Peak positions follow from Bragg's law for the DFT cell and can differ from measured ones.

```
2
Lattice="3.611 0.000 0.000 -1.806 3.128 0.000 0.000 0.000 5.671" Properties=species:S:1:pos:R:3 pbc="T T T"
Tb 0.000 2.085 1.418
Tb 1.806 1.043 4.253
```

Main lines, by angle (10 to 90 degrees two-theta):
Position (°2θ)	intensity
28.54	24
31.55	24
32.70	100
43.06	16
50.55	20
56.91	21
60.81	23
61.51	16
83.54	14
87.47	8

***

(11)
Diffraction record for Tb. The powder diffraction line list is simulated, not measured: it uses DFT lattice parameters and positions (PBE) and λ = 1.5418 Å (Cu Kα).
Peak positions follow from Bragg's law for the DFT cell and can differ from measured ones.

```
4
Lattice="3.570 0.000 0.000 0.000 6.314 0.000 0.000 0.000 5.649" Properties=species:S:1:pos:R:3 pbc="T T T"
Tb 0.000 1.004 1.412
Tb 0.000 5.310 4.237
Tb 1.785 2.153 4.237
Tb 1.785 4.160 1.412
```

Main lines, by angle (10 to 90 degrees two-theta):
Position (°2θ)	intensity
28.73	30
31.68	39
32.49	61
32.90	100
43.29	20
50.33	21
56.94	12
57.20	21
60.70	24
61.94	19

***

(12)
Diffraction record for Tb. The powder diffraction line list is simulated, not measured: it uses DFT lattice parameters and positions (PBE) and λ = 1.5418 Å (Cu Kα).
Peak positions follow from Bragg's law for the DFT cell and can differ from measured ones.

```
16
Lattice="3.589 0.000 0.000 0.000 6.044 0.000 0.000 0.000 23.347" Properties=species:S:1:pos:R:3 pbc="T T T"
Tb 0.449 0.755 7.300
Tb 0.449 0.755 21.884
Tb 0.449 3.777 10.210
Tb 0.449 3.777 18.974
Tb 1.346 2.266 1.464
Tb 1.346 2.266 16.047
Tb 1.346 5.288 4.373
Tb 1.346 5.288 13.137
Tb 2.243 0.755 10.210
Tb 2.243 0.755 18.974
Tb 2.243 3.777 7.300
Tb 2.243 3.777 21.884
Tb 3.141 2.266 4.373
Tb 3.141 2.266 13.137
Tb 3.141 5.288 1.464
Tb 3.141 5.288 16.047
```

Main lines, by angle (10 to 90 degrees two-theta):
Position (°2θ)	intensity
29.19	16
30.60	100
31.18	81
34.85	61
37.69	28
52.30	22
53.47	18
55.92	16
59.54	15
68.82	20